This entry pairs a crystal structure of LaSb3Ru with its theoretical powder XRD pattern. Radiation: Cu Kα X-rays. Structure: a crystal structure in Alexandria, relaxed with GGA-PBE.
Lines closer than 0.1° are merged.

Main lines, by angle (5° ≤ 2θ ≤ 70°):
| d/Å | intensity | hkl |
| --- | --- | --- |
| 13.169 | 30 | 1 0 0 |
| 2.829 | 55 | 2 2 0 |
| 2.778 | 35 | 2 0 2 |
| 2.632 | 100 | 4 1 1 |
| 2.550 | 15 | 3 2 0 |
| 2.540 | 16 | 2 1 2 |
| 2.513 | 20 | 3 0 2 |
| 2.191 | 62 | 0 2 2 |
| 1.673 | 21 | 4 1 3 |
| 1.364 | 19 | 2 4 2 |

Structural model:
```
LaSb3Ru
1.0
13.1690 0.0000 0.0000
0.0000 6.2649 0.0000
0.0000 0.0000 6.1294
La Sb Ru
4 12 4
direct
0.1953 0.0031 0.2500
0.1953 0.4969 0.7500
0.8047 0.5031 0.2500
0.8047 0.9969 0.7500
0.0008 0.2500 0.0000
0.0008 0.2500 0.5000
0.2883 0.5130 0.2500
0.2883 0.9870 0.7500
0.4422 0.5989 0.7500
0.4422 0.9011 0.2500
0.5578 0.0989 0.7500
0.5578 0.4011 0.2500
0.7117 0.0130 0.2500
0.7117 0.4870 0.7500
0.9992 0.7500 0.0000
0.9992 0.7500 0.5000
0.4031 0.2500 0.0000
0.4031 0.2500 0.5000
0.5969 0.7500 0.0000
0.5969 0.7500 0.5000
```